# BiC4S2Cl3O2
Calculated X-ray powder pattern, a wavelength of 1.5418 Å. Input: DFT lattice parameters and positions (GGA-PBE).
Kinematic intensities with the Lorentz-polarization factor, no thermal factor.

Largest 12 diffraction maxima, low angle first, 10 to 90 degrees two-theta:
d 7.880, 11.23 deg, I 36, hkl 2 0 0; d 7.380, 11.99 deg, I 70, hkl 2 0 -1; d 6.432, 13.77 deg, I 100, hkl 1 1 -1; d 5.431, 16.32 deg, I 97, hkl 1 1 1; d 4.568, 19.43 deg, I 37, hkl 0 0 2; d 4.505, 19.70 deg, I 46, hkl 3 1 0; d 4.254, 20.88 deg, I 51, hkl 1 1 -2; d 4.190, 21.20 deg, I 40, hkl 4 0 -1; d 3.162, 28.23 deg, I 36, hkl 0 2 2; d 2.969, 30.10 deg, I 47, hkl 5 1 0; d 2.596, 34.54 deg, I 38, hkl 5 1 -3; d 2.502, 35.89 deg, I 45, hkl 0 2 3

Atomic structure:
Cell lengths 16.824, 8.761, 9.754 Å; angles 90.00, 110.49, 90.00 degrees
Space group C2 (No. 5)
Asymmetric unit:
Bi  0.194  0.000  0.321 x4
C  0.028  0.424  0.775 x4
C  0.040  0.448  0.195 x4
C  0.120  0.939  0.762 x4
C  0.172  0.894  0.699 x4
S  0.027  0.901  0.764 x4
S  0.084  0.421  0.671 x4
Cl  0.120  0.794  0.134 x4
Cl  0.159  0.195  0.120 x4
Cl  0.204  0.226  0.532 x4
O  0.034  0.030  0.297 x4
O  0.166  0.505  0.737 x4


# BiC4S2Cl3O2
Calculated X-ray powder pattern, a wavelength of 1.5418 Å. Input: DFT lattice parameters and positions (GGA-PBE).
Kinematic intensities with the Lorentz-polarization factor, no thermal factor.

Largest 12 diffraction maxima, low angle first, 10 to 90 degrees two-theta:
d 8.519, 10.38 deg, I 61, hkl 1 1 0; d 8.044, 11.00 deg, I 100, hkl 0 0 1; d 7.645, 11.58 deg, I 43, hkl 2 0 0; d 6.705, 13.20 deg, I 90, hkl 2 0 -1; d 5.392, 16.44 deg, I 89, hkl 1 1 1; d 5.129, 17.29 deg, I 84, hkl 0 2 0; d 4.565, 19.45 deg, I 54, hkl 3 1 0; d 4.325, 20.54 deg, I 38, hkl 0 2 1; d 2.930, 30.51 deg, I 41, hkl 5 1 0; d 2.664, 33.64 deg, I 42, hkl 3 1 2; d 2.441, 36.83 deg, I 34, hkl 0 4 1; d 2.281, 39.50 deg, I 36, hkl 6 2 -2

Atomic structure:
Cell lengths 16.122, 10.259, 8.483 Å; angles 90.00, 108.50, 90.00 degrees
Space group C2 (No. 5)
Asymmetric unit:
Bi  0.202  0.000  0.431 x4
C  0.019  0.434  0.943 x4
C  0.054  0.447  0.829 x4
C  0.095  0.910  0.732 x4
C  0.155  0.921  0.669 x4
S  0.013  0.959  0.794 x4
S  0.141  0.478  0.779 x4
Cl  0.063  0.779  0.216 x4
Cl  0.170  0.110  0.137 x4
Cl  0.215  0.217  0.579 x4
O  0.047  0.032  0.353 x4
O  0.127  0.504  0.598 x4